Starting from a DFT-relaxed cell (PBE, the Materials Project), the X-ray diffraction stick pattern of Mg2Si was calculated for Cu Kα.

Structural model:
Lattice parameters (Å, degrees): 5.1607 6.5933 7.7206 108.19 100.87 97.97
Fractional coordinates of all 12 atoms:
Mg 0.1170 0.3976 0.3342
Mg 0.2092 0.9349 0.4031
Mg 0.2594 0.0790 0.9517
Mg 0.3807 0.3958 0.7522
Mg 0.6193 0.6042 0.2478
Mg 0.7406 0.9210 0.0483
Mg 0.7908 0.0651 0.5969
Mg 0.8830 0.6024 0.6658
Si 0.1519 0.6748 0.0516
Si 0.4183 0.7682 0.6708
Si 0.5817 0.2318 0.3292
Si 0.8481 0.3252 0.9484

Largest 10 diffraction maxima, in order of rising 2θ, 2θ from 10° to 80°:
hkl 0 1 2, 2.694 Å, intensity 77.0; hkl 1 0 2, 2.600 Å, intensity 32.0; hkl 1 2 -1, 2.588 Å, intensity 99.6; hkl -1 2 1, 2.522 Å, intensity 56.8; hkl 1 2 -2, 2.481 Å, intensity 63.2; hkl 1 -2 2, 2.479 Å, intensity 100.0; hkl -2 1 1, 2.428 Å, intensity 75.6; hkl 0 0 3, 2.369 Å, intensity 48.2; hkl 2 0 -2, 2.317 Å, intensity 37.6; hkl 2 0 1, 2.178 Å, intensity 53.1